Mg6VSnO8: computed XRD peak list (Cu Ka), based on a structure optimized by DFT (GGA+U).

Peak list (10 most intense, 2θ from 10° to 90°, low angle first)
hkl 0 0 2, 2θ 19.87, I = 22
hkl 1 0 0, 2θ 19.97, I = 43
hkl 1 0 2, 2θ 28.34, I = 56
hkl 1 1 2, 2θ 34.90, I = 55
hkl 0 0 4, 2θ 40.37, I = 49
hkl 2 0 0, 2θ 40.59, I = 100
hkl 2 0 2, 2θ 45.61, I = 21
hkl 2 0 4, 2θ 58.58, I = 59
hkl 2 2 0, 2θ 58.75, I = 30
hkl 2 2 4, 2θ 73.70, I = 28

Lattice parameters (Å, degrees): 4.4455 4.4455 8.9371 90.00 90.00 90.00
Space group P4/mmm (No. 123)
Symmetry-distinct sites (fractional):
Mg1 0.0000 0.0000 0.0000 (multiplicity 1)
Mg2 0.0000 0.0000 0.5000 (multiplicity 1)
Mg3 0.0000 0.5000 0.2396 (multiplicity 4)
V1 0.5000 0.5000 0.0000 (multiplicity 1)
Sn1 0.5000 0.5000 0.5000 (multiplicity 1)
O1 0.0000 0.0000 0.2469 (multiplicity 2)
O2 0.0000 0.5000 0.0000 (multiplicity 2)
O3 0.0000 0.5000 0.5000 (multiplicity 2)
O4 0.5000 0.5000 0.2342 (multiplicity 2)